Starting from the PBE geometry in Alexandria, the PXRD pattern of AsP3Cl3 was calculated for a wavelength of 1.5418 Å.

Largest 6 diffraction maxima, by angle, 10 to 80 degrees two-theta:
Position (°2θ)	I/Imax
16.40	51
33.16	100
37.21	26
47.60	66
59.23	22
79.29	28

Cell: 5.4037 5.4037 5.4037 Å, 90.00 90.00 90.00°
Fractional coordinates of all 7 atoms:
1 As 0.0000 0.0000 0.0000
2 P 0.0000 0.5000 0.5000
3 P 0.5000 0.0000 0.5000
4 P 0.5000 0.5000 0.0000
5 Cl 0.0000 0.0000 0.5000
6 Cl 0.0000 0.5000 0.0000
7 Cl 0.5000 0.0000 0.0000


Starting from the PBE geometry in Alexandria, the PXRD pattern of TcAg4Au was calculated for a wavelength of 1.5418 Å.

Largest 6 diffraction maxima, by angle, 10 to 80 degrees two-theta:
Position (°2θ)	I/Imax
33.22	36
39.17	100
40.99	32
59.36	14
63.36	31
69.74	25

Cell: 5.3936 5.3936 5.3936 Å, 60.00 60.00 60.00°
Fractional coordinates of all 6 atoms:
1 Tc 0.0000 0.0000 0.0000
2 Ag 0.1249 0.6250 0.6250
3 Ag 0.6250 0.1249 0.6250
4 Ag 0.6250 0.6250 0.1249
5 Ag 0.6250 0.6250 0.6250
6 Au 0.2500 0.2500 0.2500


Starting from the PBE geometry in Alexandria, the PXRD pattern of SmHo6Hg was calculated for a wavelength of 1.5418 Å.

Largest 6 diffraction maxima, by angle, 10 to 80 degrees two-theta:
Position (°2θ)	I/Imax
28.67	38
30.88	95
33.36	45
33.56	23
34.74	100
52.34	31

Cell: 6.2772 6.2772 6.2772 Å, 94.92 94.92 94.92°
Fractional coordinates of all 8 atoms:
1 Sm 0.0000 0.0000 0.0000
2 Ho 0.0599 0.2602 0.5415
3 Ho 0.2602 0.5415 0.0599
4 Ho 0.4585 0.9401 0.7398
5 Ho 0.5415 0.0599 0.2602
6 Ho 0.7398 0.4585 0.9401
7 Ho 0.9401 0.7398 0.4585
8 Hg 0.5000 0.5000 0.5000


Starting from the PBE geometry in Alexandria, the PXRD pattern of SmCdSnBi was calculated for a wavelength of 1.5418 Å.

Largest 6 diffraction maxima, by angle, 10 to 80 degrees two-theta:
Position (°2θ)	I/Imax
32.52	100
35.90	19
36.74	18
40.43	15
62.40	16
63.52	15

Cell: 4.4626 4.8926 5.0036 Å, 90.00 90.00 90.00°
Fractional coordinates of all 4 atoms:
1 Sm 0.0000 0.0000 0.0000
2 Cd 0.0000 0.5000 0.5000
3 Sn 0.5000 0.5000 0.0000
4 Bi 0.5000 0.0000 0.5000


Starting from the PBE geometry in Alexandria, the PXRD pattern of LiNdSi2Ir was calculated for a wavelength of 1.5418 Å.

Largest 6 diffraction maxima, by angle, 10 to 80 degrees two-theta:
Position (°2θ)	I/Imax
23.20	100
34.32	57
35.42	90
43.69	34
56.71	27
74.89	28

Cell: 5.8376 5.8376 5.8376 Å, 138.43 138.43 60.25°
Fractional coordinates of all 5 atoms:
1 Li 0.0000 0.0000 0.0000
2 Nd 0.2500 0.7500 0.5000
3 Si 0.6280 0.1280 0.5000
4 Si 0.8720 0.3720 0.5000
5 Ir 0.5000 0.5000 0.0000


Starting from the PBE geometry in Alexandria, the PXRD pattern of Rb3Tm2Cl9 was calculated for a wavelength of 1.5418 Å.

Largest 6 diffraction maxima, by angle, 10 to 80 degrees two-theta:
Position (°2θ)	I/Imax
13.67	96
23.79	92
31.16	100
32.04	45
40.30	60
48.68	43

Cell: 9.7110 9.7110 9.7110 Å, 83.70 83.70 83.70°
Fractional coordinates of all 28 atoms:
1 Rb 0.0852 0.7500 0.4148
2 Rb 0.2500 0.5852 0.9148
3 Rb 0.4148 0.0852 0.7500
4 Rb 0.5852 0.9148 0.2500
5 Rb 0.7500 0.4148 0.0852
6 Rb 0.9148 0.2500 0.5852
7 Tm 0.1504 0.1504 0.1504
8 Tm 0.3496 0.3496 0.3496
9 Tm 0.6504 0.6504 0.6504
10 Tm 0.8496 0.8496 0.8496
11 Cl 0.0804 0.2680 0.9201
12 Cl 0.0799 0.9196 0.7320
13 Cl 0.0968 0.4032 0.2500
14 Cl 0.2320 0.4196 0.5799
15 Cl 0.2500 0.0968 0.4032
16 Cl 0.2680 0.9201 0.0804
17 Cl 0.4032 0.2500 0.0968
18 Cl 0.4196 0.5799 0.2320
19 Cl 0.4201 0.7680 0.5804
20 Cl 0.5799 0.2320 0.4196
21 Cl 0.5804 0.4201 0.7680
22 Cl 0.5968 0.7500 0.9032
23 Cl 0.7320 0.0799 0.9196
24 Cl 0.7500 0.9032 0.5968
25 Cl 0.7680 0.5804 0.4201
26 Cl 0.9032 0.5968 0.7500
27 Cl 0.9201 0.0804 0.2680
28 Cl 0.9196 0.7320 0.0799


Starting from the PBE geometry in Alexandria, the PXRD pattern of Ho8Er2In3 was calculated for a wavelength of 1.5418 Å.

Largest 6 diffraction maxima, by angle, 10 to 80 degrees two-theta:
Position (°2θ)	I/Imax
32.68	96
32.92	100
35.04	53
37.35	55
52.64	49
57.98	45

Cell: 12.1480 12.1480 12.1480 Å, 30.36 30.36 30.36°
Fractional coordinates of all 13 atoms:
1 Ho 0.2196 0.2196 0.7210
2 Ho 0.2196 0.7210 0.2196
3 Ho 0.2258 0.2258 0.2258
4 Ho 0.2790 0.7804 0.7804
5 Ho 0.7210 0.2196 0.2196
6 Ho 0.7742 0.7742 0.7742
7 Ho 0.7804 0.2790 0.7804
8 Ho 0.7804 0.7804 0.2790
9 Er 0.1361 0.1361 0.1361
10 Er 0.8639 0.8639 0.8639
11 In 0.3117 0.3117 0.3117
12 In 0.5000 0.5000 0.5000
13 In 0.6883 0.6883 0.6883


Starting from the PBE geometry in Alexandria, the PXRD pattern of Rb4Cd3 was calculated for a wavelength of 1.5418 Å.

Largest 6 diffraction maxima, by angle, 10 to 80 degrees two-theta:
Position (°2θ)	I/Imax
17.68	23
24.20	100
26.03	43
28.57	23
30.96	49
45.94	53

Cell: 15.2825 15.2825 5.4271 Å, 90.00 90.00 120.00°
Fractional coordinates of all 21 atoms:
1 Rb 0.0133 0.2461 0.2432
2 Rb 0.1317 0.6160 0.2497
3 Rb 0.2328 0.9867 0.2432
4 Rb 0.2461 0.2328 0.7568
5 Rb 0.3840 0.5157 0.2497
6 Rb 0.4843 0.8683 0.2497
7 Rb 0.5157 0.1317 0.7503
8 Rb 0.6160 0.4843 0.7503
9 Rb 0.7539 0.7672 0.2432
10 Rb 0.7672 0.0133 0.7568
11 Rb 0.8683 0.3840 0.7503
12 Rb 0.9867 0.7539 0.7568
13 Cd 0.0000 0.0000 0.5000
14 Cd 0.1693 0.4472 0.7471
15 Cd 0.2779 0.8307 0.7471
16 Cd 0.3333 0.6667 0.7513
17 Cd 0.4472 0.2779 0.2529
18 Cd 0.5528 0.7221 0.7471
19 Cd 0.6667 0.3333 0.2487
20 Cd 0.7221 0.1693 0.2529
21 Cd 0.8307 0.5528 0.2529


Starting from the PBE geometry in Alexandria, the PXRD pattern of CsH4NF2 was calculated for a wavelength of 1.5418 Å.

Largest 6 diffraction maxima, by angle, 10 to 80 degrees two-theta:
Position (°2θ)	I/Imax
13.47	67
17.43	95
24.73	55
27.61	100
31.19	95
32.18	61

Cell: 7.4532 4.1806 13.9318 Å, 90.00 90.00 90.00°
Fractional coordinates of all 32 atoms:
1 Cs 0.1348 0.2500 0.1397
2 Cs 0.3652 0.7500 0.6397
3 Cs 0.6348 0.2500 0.3603
4 Cs 0.8652 0.7500 0.8603
5 H 0.0432 0.7500 0.3524
6 H 0.1938 0.5436 0.4272
7 H 0.1938 0.9564 0.4272
8 H 0.2363 0.2500 0.8274
9 H 0.2637 0.7500 0.3274
10 H 0.3062 0.0436 0.9272
11 H 0.3062 0.4564 0.9272
12 H 0.4568 0.2500 0.8524
13 H 0.5432 0.7500 0.1476
14 H 0.6938 0.5436 0.0728
15 H 0.6938 0.9564 0.0728
16 H 0.7363 0.2500 0.6726
17 H 0.7637 0.7500 0.1726
18 H 0.8062 0.0436 0.5728
19 H 0.8062 0.4564 0.5728
20 H 0.9568 0.2500 0.6476
21 N 0.1702 0.7500 0.3848
22 N 0.3298 0.2500 0.8848
23 N 0.6702 0.7500 0.1152
24 N 0.8298 0.2500 0.6152
25 F 0.1100 0.2500 0.7360
26 F 0.2281 0.7500 0.9893
27 F 0.2719 0.2500 0.4893
28 F 0.3900 0.7500 0.2360
29 F 0.6100 0.2500 0.7640
30 F 0.7281 0.7500 0.5107
31 F 0.7719 0.2500 0.0107
32 F 0.8900 0.7500 0.2640


Starting from the PBE geometry in Alexandria, the PXRD pattern of CuGe2Pd was calculated for a wavelength of 1.5418 Å.

Largest 6 diffraction maxima, by angle, 10 to 80 degrees two-theta:
Position (°2θ)	I/Imax
10.26	40
34.99	100
38.56	44
41.90	32
49.55	58
61.39	43

Cell: 8.7994 8.7994 8.7994 Å, 19.77 19.77 19.77°
Fractional coordinates of all 4 atoms:
1 Cu 0.0000 0.0000 0.0000
2 Ge 0.0907 0.0907 0.0907
3 Ge 0.9093 0.9093 0.9093
4 Pd 0.5000 0.5000 0.5000


Starting from the PBE geometry in Alexandria, the PXRD pattern of Y4Ho3Th was calculated for a wavelength of 1.5418 Å.

Largest 6 diffraction maxima, by angle, 10 to 80 degrees two-theta:
Position (°2θ)	I/Imax
20.12	15
28.38	10
31.56	100
34.36	28
45.96	12
56.26	14

Cell: 13.5414 13.5414 3.5308 Å, 90.08 90.08 24.12°
Fractional coordinates of all 8 atoms:
1 Y 0.1043 0.1043 0.0009
2 Y 0.2232 0.2232 0.0002
3 Y 0.7768 0.7768 0.9998
4 Y 0.8957 0.8957 0.9991
5 Ho 0.3432 0.3432 0.4999
6 Ho 0.5000 0.5000 0.0000
7 Ho 0.6568 0.6568 0.5001
8 Th 0.0000 0.0000 0.5000


Starting from the PBE geometry in Alexandria, the PXRD pattern of Cr4Ni3 was calculated for a wavelength of 1.5418 Å.

Largest 6 diffraction maxima, by angle, 10 to 80 degrees two-theta:
Position (°2θ)	I/Imax
39.50	40
44.70	88
45.93	70
47.10	100
50.60	90
77.06	46

Cell: 4.5629 4.5629 4.4215 Å, 90.00 90.00 120.00°
Fractional coordinates of all 7 atoms:
1 Cr 0.0000 0.0000 0.2235
2 Cr 0.0000 0.0000 0.7765
3 Cr 0.3333 0.6667 0.0000
4 Cr 0.6667 0.3333 0.0000
5 Ni 0.0000 0.5000 0.5000
6 Ni 0.5000 0.0000 0.5000
7 Ni 0.5000 0.5000 0.5000